For CaVFeP4O14, the PBE+U geometry in the Materials Project gives the computed XRD peak list in this record (Cu Kα X-rays).
Peak positions follow from Bragg's law for the DFT cell and can differ from measured ones.

Principal peaks in the range 2θ from 15° to 90°, sorted by position:
2θ (°)  d [Å]  intensity
16.81  5.274  740
16.94  5.235  782
21.65  4.104  268
22.64  3.927  677
25.75  3.460  562
27.99  3.188  798
28.14  3.171  367
29.24  3.055  1000
29.84  2.994  878
38.39  2.345  256

Cell and atoms:
```
CaVFeP4O14
1.0
4.9170 0.0000 0.0000
2.0435 6.8968 0.0000
0.1530 0.0600 8.1125
Ca V Fe P O
1 1 1 4 14
Cartesian
0.0000 0.0000 0.0000
3.7908 3.3008 0.5534
0.1497 0.0802 4.5212
1.5436 4.3224 6.7002
1.4468 1.7711 2.1782
2.6210 1.6481 6.1557
4.5872 5.9452 2.6454
0.9049 1.6660 3.5841
2.4497 4.5685 7.9478
1.3336 0.7981 6.2363
2.2174 3.1805 5.8082
1.8811 0.2489 1.6923
2.6510 2.6807 2.0617
3.7188 5.8560 3.8914
3.3101 1.6696 7.5465
4.5521 4.7798 1.6860
3.5619 1.2392 5.0560
5.0555 3.8922 7.0776
6.0407 6.3789 2.8910
5.2732 2.0073 1.1075
6.4695 5.6343 5.9159
```

---

For CaVFeP4O14, the PBE+U geometry in the Materials Project gives the computed XRD peak list in this record (Cu Kα X-rays).
Peak positions follow from Bragg's law for the DFT cell and can differ from measured ones.

Principal peaks in the range 2θ from 15° to 90°, sorted by position:
2θ (°)  d [Å]  intensity
16.85  5.261  1000
21.76  4.085  211
22.49  3.954  532
25.86  3.445  378
28.06  3.180  416
28.16  3.169  376
29.36  3.042  706
29.56  3.022  700
34.09  2.630  260
38.32  2.349  298

Cell and atoms:
```
CaVFeP4O14
1.0
4.9080 0.0000 0.0000
2.0805 6.8872 0.0000
0.0715 -0.0131 8.1500
Ca V Fe P O
1 1 1 4 14
Cartesian
0.0000 0.0000 0.0000
0.1229 0.0543 4.6070
3.8009 3.3116 0.6392
1.4598 4.2595 6.8104
1.4287 1.7504 2.2128
2.5538 1.6051 6.2291
4.5906 5.9126 2.7094
0.8764 1.6469 3.6111
2.3712 4.4710 8.0602
1.2675 0.7403 6.2798
2.1298 3.1269 5.8951
1.8590 0.2110 1.7398
2.6308 2.6578 2.0925
3.7309 5.8171 3.9637
3.2222 1.6054 7.6261
3.5000 1.2159 5.1235
4.5399 4.7228 1.7702
4.9616 3.8371 7.1887
6.0418 6.3371 2.9554
5.2643 1.9867 1.1229
6.3967 5.5795 6.0421
```

---

For CaVFeP4O14, the PBE+U geometry in the Materials Project gives the computed XRD peak list in this record (Cu Kα X-rays).
Peak positions follow from Bragg's law for the DFT cell and can differ from measured ones.

Principal peaks in the range 2θ from 15° to 90°, sorted by position:
2θ (°)  d [Å]  intensity
16.69  5.312  692
17.00  5.215  1000
21.38  4.156  380
21.45  4.143  564
22.28  3.990  551
24.84  3.584  402
27.96  3.191  431
28.84  3.095  457
29.12  3.066  877
29.48  3.030  432

Cell and atoms:
```
CaVFeP4O14
1.0
4.9870 0.0000 0.0000
2.0088 6.7816 0.0000
0.0177 0.1561 8.3473
Ca V Fe P O
1 1 1 4 14
Cartesian
0.0000 0.0000 0.0000
4.0928 6.1120 5.1198
5.2693 3.1001 1.0986
1.5725 4.5259 6.6492
2.7777 4.5347 2.5964
2.6849 1.9488 7.4241
4.6562 0.4634 3.2613
2.2041 6.0422 2.2317
0.6639 0.5934 4.4039
1.5976 3.5842 2.4414
1.6008 1.6807 0.1886
2.7392 5.5468 6.5876
2.1730 3.0593 6.3817
3.3068 4.6016 4.0047
3.8371 4.3725 1.4963
2.8256 0.6206 6.6822
5.2680 6.8408 3.6898
4.0659 2.3313 7.9619
5.4770 4.7424 5.6239
4.6108 1.5935 2.2316
6.0602 4.6188 8.1127
```

---

For Ca2FeReO6, the PBE+U geometry in the Materials Project gives the computed XRD peak list in this record (Cu Kα X-rays).
Peak positions follow from Bragg's law for the DFT cell and can differ from measured ones.

Principal peaks in the range 2θ from 15° to 90°, sorted by position:
2θ (°)  d [Å]  intensity
19.29  4.601  724
19.92  4.456  360
22.47  3.957  1000
23.00  3.867  440
31.26  2.862  507
32.30  2.771  971
32.45  2.759  990
32.71  2.738  467
45.87  1.978  530
58.29  1.583  327

Cell and atoms:
```
Ca2FeReO6
1.0
5.4757 0.0000 0.0000
0.0408 9.6181 0.0000
0.0522 2.8124 9.2038
Ca Fe Re O
8 4 4 24
Cartesian
0.0858 1.3591 1.4422
0.1366 7.5812 6.0401
2.7231 5.8406 8.3252
2.7146 9.2519 3.7154
2.8541 3.1785 5.4884
2.8456 6.5899 0.8786
5.4320 4.8492 3.1637
5.4829 11.0714 7.7616
0.0261 1.4062 4.6019
0.0204 4.8090 0.0000
2.7378 0.0000 0.0000
2.7843 6.2152 4.6019
0.0502 4.5253 6.9027
5.5185 7.9052 2.3011
2.7570 3.1168 2.3030
2.8117 9.3136 6.9008
0.5674 6.2862 1.3235
0.5803 2.8855 5.9376
1.0317 3.8883 8.4459
1.0265 7.2857 3.8441
1.2232 9.6595 5.8413
1.1815 3.4526 1.2309
1.6286 5.4367 6.2624
1.6227 8.8333 1.6686
1.8268 8.0314 7.9527
1.7842 1.8179 3.3542
2.2786 10.7227 8.1788
2.2382 4.5175 3.5746
3.3304 7.9130 5.6292
3.2901 1.7078 1.0250
3.7845 10.6125 5.8496
3.7419 4.3990 1.2511
3.9460 3.5971 7.5352
3.9400 6.9938 2.9414
4.3871 8.9779 7.9729
4.3455 2.7710 3.3625
4.5421 5.1448 5.3597
4.5369 8.5422 0.7579
4.9884 9.5449 3.2662
5.0013 6.1442 7.8803
```

---

For CaFeReO6, the PBE+U geometry in the Materials Project gives the computed XRD peak list in this record (Cu Kα X-rays).
Peak positions follow from Bragg's law for the DFT cell and can differ from measured ones.

Principal peaks in the range 2θ from 15° to 90°, sorted by position:
2θ (°)  d [Å]  intensity
19.85  4.473  330
20.29  4.377  321
23.21  3.832  1000
32.47  2.757  163
33.08  2.708  636
33.58  2.669  151
47.41  1.918  206
53.45  1.714  143
53.56  1.711  136
59.72  1.548  148

Cell and atoms:
```
CaFeReO6
1.0
5.3379 0.0000 0.0000
0.0000 5.5148 0.0000
-5.3295 0.0000 7.6470
Ca Fe Re O
2 2 2 12
Cartesian
0.0000 1.0400 0.0000
-2.6648 4.4748 3.8235
2.6896 1.4131 1.9229
0.0248 4.1017 5.7464
-2.6020 1.4489 5.7395
0.0627 4.0659 1.9161
-0.9470 2.5342 1.6015
-3.6118 2.9806 5.4250
-2.2177 1.3227 3.9071
0.4470 4.1922 0.0837
-3.0223 1.4821 7.6026
-0.3575 4.0328 3.7791
1.2046 0.1166 2.1981
-1.4602 5.3982 6.0216
-1.0440 2.4645 6.0965
1.6208 3.0504 2.2730
1.2870 0.2459 5.5136
3.9518 5.2689 1.6901
```

---

For Ca3FeRhO6, the PBE+U geometry in the Materials Project gives the computed XRD peak list in this record (Cu Kα X-rays).
Peak positions follow from Bragg's law for the DFT cell and can differ from measured ones.

Principal peaks in the range 2θ from 15° to 90°, sorted by position:
2θ (°)  d [Å]  intensity
19.20  4.623  1000
19.66  4.515  255
31.25  2.862  287
33.58  2.669  983
39.94  2.257  415
44.67  2.029  594
46.52  1.952  285
52.36  1.747  164
53.14  1.724  215
60.75  1.525  322

Cell and atoms:
```
Ca3FeRhO6
1.0
4.6229 2.6690 3.6446
-4.6229 2.6690 3.6446
0.0000 -5.3381 3.6446
Ca Fe Rh O
6 2 2 12
Cartesian
-2.9245 0.2726 4.5558
-1.6984 -2.3964 6.3781
1.2261 -2.6690 4.5558
-1.2261 2.6690 6.3781
1.6984 2.3964 4.5558
2.9245 -0.2726 6.3781
0.0000 0.0000 2.7335
0.0000 0.0000 8.2004
0.0000 0.0000 0.0000
0.0000 0.0000 5.4669
-3.9854 -1.2411 5.9623
-0.9179 -4.0721 4.9715
-0.9179 -1.2660 4.1400
-3.0676 2.8309 4.9715
-0.6375 1.4279 4.1400
-1.5553 0.1619 6.7938
1.5553 -0.1619 4.1400
0.6374 -1.4279 6.7938
3.0676 -2.8309 5.9623
0.9179 1.2660 6.7938
0.9179 4.0721 5.9623
3.9854 1.2411 4.9715
```

---

For Ca3Fe2Rh2O12, the PBE+U geometry in the Materials Project gives the computed XRD peak list in this record (Cu Kα X-rays).
Peak positions follow from Bragg's law for the DFT cell and can differ from measured ones.

Principal peaks in the range 2θ from 15° to 90°, sorted by position:
2θ (°)  d [Å]  intensity
19.21  4.621  1000
20.13  4.411  99
33.59  2.668  292
40.92  2.206  161
44.26  2.047  65
45.57  1.990  274
47.03  1.932  68
52.39  1.746  109
53.94  1.700  133
61.49  1.508  134

Cell and atoms:
```
Ca3Fe2Rh2O12
1.0
4.6207 2.6678 3.5245
-4.6207 2.6678 3.5245
0.0000 -5.3356 3.5245
Ca Fe Rh O
3 2 2 12
Cartesian
-1.7223 -2.3525 3.5245
-1.1761 2.6678 3.5245
-1.7223 2.3525 7.0490
0.0000 0.0000 0.0000
0.0000 0.0000 5.2868
0.0000 0.0000 2.5940
0.0000 0.0000 7.9796
-3.0820 -2.4976 5.6531
-0.6220 -3.9179 4.9204
-1.4371 0.1884 3.9606
-3.0820 2.4976 4.9204
0.5553 -1.3387 3.9606
-1.4370 -0.1884 6.6129
0.8817 1.1503 3.9606
0.8817 -1.1503 6.6130
-0.6220 3.9179 5.6531
0.5553 1.3387 6.6130
3.7040 -1.4203 5.6531
3.7040 1.4203 4.9205
```

---

For CaFeSO, the PBE+U geometry in the Materials Project gives the computed XRD peak list in this record (Cu Kα X-rays).
Peak positions follow from Bragg's law for the DFT cell and can differ from measured ones.

Principal peaks in the range 2θ from 15° to 90°, sorted by position:
2θ (°)  d [Å]  intensity
27.33  3.263  232
28.42  3.141  376
30.93  2.891  332
31.48  2.842  1000
36.06  2.491  609
41.74  2.164  165
48.30  1.884  688
55.36  1.660  448
58.47  1.579  277
76.49  1.245  154

Cell and atoms:
```
CaFeSO
1.0
3.7682 0.0000 0.0000
-1.8841 3.2634 0.0000
0.0000 0.0000 11.5653
Ca Fe S O
2 2 2 2
Cartesian
0.0000 2.1756 0.0000
1.8841 1.0878 5.7827
0.0000 0.0000 3.0826
0.0000 0.0000 8.8652
0.0000 2.1756 7.8860
1.8841 1.0878 2.1033
0.0000 0.0000 5.0106
0.0000 0.0000 10.7933
```

---

For Sr4CaFe2S2O6, the PBE+U geometry in the Materials Project gives the computed XRD peak list in this record (Cu Kα X-rays).
Peak positions follow from Bragg's law for the DFT cell and can differ from measured ones.

Principal peaks in the range 2θ from 15° to 90°, sorted by position:
2θ (°)  d [Å]  intensity
22.99  3.868  113
30.99  2.885  1000
31.84  2.811  550
32.29  2.772  118
34.99  2.564  123
39.39  2.287  264
45.64  1.988  412
56.20  1.637  360
61.84  1.500  129
66.53  1.405  123

Cell and atoms:
```
Sr4CaFe2S2O6
1.0
3.9752 0.0000 0.0000
0.0000 3.9752 0.0000
0.0000 0.0000 16.7794
Sr Ca Fe S O
4 1 2 2 6
Cartesian
0.0000 1.9876 1.3885
0.0000 1.9876 4.9845
1.9876 0.0000 11.7949
1.9876 0.0000 15.3909
0.0000 0.0000 8.3897
0.0000 1.9876 13.7637
1.9876 0.0000 3.0157
0.0000 1.9876 10.2533
1.9876 0.0000 6.5261
0.0000 0.0000 3.3573
0.0000 0.0000 13.4222
0.0000 1.9876 15.6855
1.9876 0.0000 1.0939
1.9876 1.9876 3.3511
1.9876 1.9876 13.4283
```